1.
This entry pairs a crystal structure of DyTmMgTi with its theoretical powder XRD pattern. Radiation: copper Kα. Structure: a structure optimized by DFT (GGA-PBE).
Neutral-atom scattering factors, no anomalous dispersion.

Cell and atoms:
a b c (Å): 5.2232 5.2232 5.2232
angles (deg): 60.00 60.00 60.00
Sites, in units of the cell vectors:
Dy (0.0000, 0.0000, 0.0000)
Tm (0.5000, 0.5000, 0.5000)
Mg (0.2500, 0.2500, 0.2500)
Ti (0.7500, 0.7500, 0.7500)

Top 7 peaks for 2θ from 5° to 70°, by intensity:
- d = 2.612 Å, 34.3 deg, rel. 100
- d = 3.693 Å, 24.1 deg, rel. 49
- d = 1.508 Å, 61.5 deg, rel. 37
- d = 1.652 Å, 55.6 deg, rel. 21
- d = 1.847 Å, 49.3 deg, rel. 18
- d = 2.132 Å, 42.4 deg, rel. 15
- d = 4.265 Å, 20.8 deg, rel. 1



2.
This entry pairs a crystal structure of DyMg15Tl4 with its theoretical powder XRD pattern. Radiation: copper Kα. Structure: a structure optimized by DFT (GGA-PBE).
Neutral-atom scattering factors, no anomalous dispersion.

Cell and atoms:
a b c (Å): 4.7524 4.7524 20.9948
angles (deg): 90.00 90.00 90.00
Sites, in units of the cell vectors:
Dy (0.0000, 0.0000, 0.0000)
Mg (0.0000, 0.5000, 0.1056)
Mg (0.0000, 0.5000, 0.3024)
Mg (0.0000, 0.5000, 0.5000)
Mg (0.0000, 0.5000, 0.6976)
Mg (0.0000, 0.5000, 0.8944)
Mg (0.5000, 0.0000, 0.1056)
Mg (0.5000, 0.0000, 0.3024)
Mg (0.5000, 0.0000, 0.5000)
Mg (0.5000, 0.0000, 0.6976)
Mg (0.5000, 0.0000, 0.8944)
Mg (0.5000, 0.5000, 0.0000)
Mg (0.5000, 0.5000, 0.2063)
Mg (0.5000, 0.5000, 0.4000)
Mg (0.5000, 0.5000, 0.6000)
Mg (0.5000, 0.5000, 0.7937)
Tl (0.0000, 0.0000, 0.2022)
Tl (0.0000, 0.0000, 0.4021)
Tl (0.0000, 0.0000, 0.5979)
Tl (0.0000, 0.0000, 0.7978)

Top 8 peaks for 2θ from 5° to 70°, by intensity:
- d = 2.624 Å, 34.2 deg, rel. 100
- d = 4.752 Å, 18.7 deg, rel. 83
- d = 3.147 Å, 28.4 deg, rel. 61
- d = 2.376 Å, 37.9 deg, rel. 38
- d = 3.360 Å, 26.5 deg, rel. 36
- d = 4.199 Å, 21.2 deg, rel. 31
- d = 1.896 Å, 48.0 deg, rel. 30
- d = 1.415 Å, 66.0 deg, rel. 29



3.
This entry pairs a crystal structure of DyMg2Tl with its theoretical powder XRD pattern. Radiation: copper Kα. Structure: a structure optimized by DFT (GGA-PBE).
Neutral-atom scattering factors, no anomalous dispersion.

Cell and atoms:
a b c (Å): 3.5474 3.5474 8.2297
angles (deg): 90.00 90.00 90.00
Sites, in units of the cell vectors:
Dy (0.0000, 0.0000, 0.0000)
Mg (0.5000, 0.5000, 0.2725)
Mg (0.5000, 0.5000, 0.7275)
Tl (0.0000, 0.0000, 0.5000)

Top 8 peaks for 2θ from 5° to 70°, by intensity:
- d = 2.687 Å, 33.3 deg, rel. 100
- d = 3.547 Å, 25.1 deg, rel. 58
- d = 4.115 Å, 21.6 deg, rel. 42
- d = 2.508 Å, 35.8 deg, rel. 42
- d = 1.480 Å, 62.8 deg, rel. 33
- d = 2.142 Å, 42.2 deg, rel. 30
- d = 1.591 Å, 58.0 deg, rel. 20
- d = 1.780 Å, 51.3 deg, rel. 18



4.
This entry pairs a crystal structure of Dy7Mg5Tl with its theoretical powder XRD pattern. Radiation: copper Kα. Structure: a structure optimized by DFT (GGA-PBE).
Neutral-atom scattering factors, no anomalous dispersion.

Cell and atoms:
a b c (Å): 8.3668 8.3668 6.2219
angles (deg): 111.67 111.67 78.75
Sites, in units of the cell vectors:
Dy (0.0000, 0.0000, 0.0000)
Dy (0.0501, 0.4209, 0.2369)
Dy (0.4209, 0.0501, 0.2369)
Dy (0.5657, 0.5657, 0.0663)
Dy (0.5675, 0.8948, 0.7322)
Dy (0.8543, 0.8543, 0.3563)
Dy (0.8948, 0.5675, 0.7322)
Mg (0.2332, 0.7304, 0.7259)
Mg (0.2330, 0.7306, 0.2395)
Mg (0.4753, 0.4753, 0.4760)
Mg (0.7304, 0.2332, 0.7259)
Mg (0.7306, 0.2330, 0.2395)
Tl (0.2001, 0.2001, 0.7003)

Top 8 peaks for 2θ from 5° to 70°, by intensity:
- d = 2.705 Å, 33.1 deg, rel. 100
- d = 3.076 Å, 29.0 deg, rel. 77
- d = 3.111 Å, 28.7 deg, rel. 67
- d = 2.763 Å, 32.4 deg, rel. 55
- d = 5.682 Å, 15.6 deg, rel. 40
- d = 3.236 Å, 27.6 deg, rel. 37
- d = 2.427 Å, 37.0 deg, rel. 27
- d = 2.507 Å, 35.8 deg, rel. 24



5.
This entry pairs a crystal structure of Dy6MgTl with its theoretical powder XRD pattern. Radiation: copper Kα. Structure: a structure optimized by DFT (GGA-PBE).
Neutral-atom scattering factors, no anomalous dispersion.

Cell and atoms:
a b c (Å): 10.0124 10.0124 10.0124
angles (deg): 151.00 151.00 41.48
Sites, in units of the cell vectors:
Dy (0.1168, 0.6168, 0.5000)
Dy (0.2477, 0.2477, 0.0000)
Dy (0.3832, 0.8832, 0.5000)
Dy (0.6168, 0.1168, 0.5000)
Dy (0.7523, 0.7523, 0.0000)
Dy (0.8832, 0.3832, 0.5000)
Mg (0.0000, 0.0000, 0.0000)
Tl (0.5000, 0.5000, 0.0000)

Top 8 peaks for 2θ from 5° to 70°, by intensity:
- d = 2.827 Å, 31.7 deg, rel. 100
- d = 2.507 Å, 35.8 deg, rel. 37
- d = 1.502 Å, 61.8 deg, rel. 30
- d = 1.711 Å, 53.6 deg, rel. 21
- d = 2.341 Å, 38.5 deg, rel. 14
- d = 1.773 Å, 51.5 deg, rel. 13
- d = 1.413 Å, 66.1 deg, rel. 11
- d = 1.428 Å, 65.3 deg, rel. 10



6.
This entry pairs a crystal structure of Dy3Mg2Tl with its theoretical powder XRD pattern. Radiation: copper Kα. Structure: a structure optimized by DFT (GGA-PBE).
Neutral-atom scattering factors, no anomalous dispersion.

Cell and atoms:
a b c (Å): 3.8115 3.8115 11.2259
angles (deg): 90.00 90.00 90.00
Sites, in units of the cell vectors:
Dy (0.0000, 0.0000, 0.0000)
Dy (0.0000, 0.0000, 0.3308)
Dy (0.0000, 0.0000, 0.6692)
Mg (0.5000, 0.5000, 0.1626)
Mg (0.5000, 0.5000, 0.8374)
Tl (0.5000, 0.5000, 0.5000)

Top 8 peaks for 2θ from 5° to 70°, by intensity:
- d = 2.670 Å, 33.6 deg, rel. 100
- d = 2.695 Å, 33.2 deg, rel. 51
- d = 1.551 Å, 59.6 deg, rel. 39
- d = 11.226 Å, 7.9 deg, rel. 34
- d = 1.906 Å, 47.7 deg, rel. 19
- d = 1.537 Å, 60.2 deg, rel. 19
- d = 3.609 Å, 24.7 deg, rel. 13
- d = 3.811 Å, 23.3 deg, rel. 12